Structure and calculated powder XRD pattern of Pm11Al9Co4 (DFT lattice parameters and positions (GGA-PBE); Cu Kα, 1.54184 Å).
Peak positions follow from Bragg's law for the DFT cell and can differ from measured ones.

Atomic structure:
```
Pm11Al9Co4
1.0
7.088 -10.583 0.000
7.088 10.583 0.000
0.000 0.000 3.694
Pm Al Co
11 9 4
Direct
0.000 0.000 0.000 Pm
0.073 0.415 0.000 Pm
0.167 0.833 0.000 Pm
0.313 0.313 0.000 Pm
0.376 0.624 0.000 Pm
0.415 0.073 0.000 Pm
0.585 0.927 0.000 Pm
0.624 0.376 0.000 Pm
0.687 0.687 0.000 Pm
0.833 0.167 0.000 Pm
0.927 0.585 0.000 Pm
0.087 0.222 0.500 Al
0.172 0.630 0.500 Al
0.222 0.087 0.500 Al
0.370 0.828 0.500 Al
0.500 0.500 0.500 Al
0.630 0.172 0.500 Al
0.778 0.913 0.500 Al
0.828 0.370 0.500 Al
0.913 0.778 0.500 Al
0.240 0.445 0.500 Co
0.445 0.240 0.500 Co
0.555 0.760 0.500 Co
0.760 0.555 0.500 Co
```

Most intense lines, 10 to 80 degrees two-theta, low angle first:
- 2θ 19.2, I 14
- 2θ 21.9, I 12
- 2θ 24.1, I 31
- 2θ 25.1, I 22
- 2θ 25.2, I 22
- 2θ 33.3, I 14
- 2θ 35.1, I 100
- 2θ 35.9, I 29
- 2θ 37.5, I 34
- 2θ 49.3, I 16